(1)
For SrV4O10, a crystal structure in Alexandria, relaxed with GGA+U gives the calculated powder XRD pattern in this record (CuKα).
No peak broadening, texture or thermal motion is included.

Crystal structure
abc: 11.7486 3.7933 9.1110
angles: 90.00 92.97 90.00
Space group Cm (No. 8)
Asymmetric unit:
Sr  0.0000  0.0000  0.0000
V  0.0116  0.5000  0.6383
V  0.1509  0.5000  0.3229
V  0.3126  0.5000  0.6513
V  0.3517  0.0000  0.3080
O  0.0345  0.5000  0.8250
O  0.1096  0.5000  0.1416
O  0.1700  0.5000  0.5721
O  0.1894  0.0000  0.3430
O  0.3086  0.5000  0.8310
O  0.3226  0.5000  0.3392
O  0.3409  0.0000  0.6104
O  0.3721  0.0000  0.1286
O  0.4752  0.5000  0.6137
O  0.4920  0.0000  0.3907

Top 12 peaks for 10 to 90 degrees two-theta, low angle first:
Position (°2θ), I (rel.)
15.10, 35.6
17.56, 69.5
25.39, 41.6
26.42, 100.0
29.45, 79.0
31.90, 38.7
32.55, 36.3
34.02, 41.4
34.73, 37.5
46.44, 30.4
47.97, 47.8
57.32, 32.8

***

(2)
For Co3B2O6, a crystal structure in Alexandria, relaxed with GGA+U gives the calculated powder XRD pattern in this record (CuKα).
No peak broadening, texture or thermal motion is included.

Crystal structure
abc: 4.5679 5.5256 8.4901
angles: 90.00 90.00 90.00
Space group Pnnm (No. 58)
Asymmetric unit:
Co  0.0000  0.0000  0.0000
Co  0.0000  0.5000  0.1844
B  0.0392  0.2468  0.5000
O  0.1943  0.2949  0.3612
O  0.2461  0.3196  0.0000

Top 12 peaks for 10 to 90 degrees two-theta, low angle first:
Position (°2θ), I (rel.)
22.10, 40.2
25.30, 22.1
33.06, 100.0
35.64, 41.4
39.57, 52.5
40.91, 14.0
51.95, 31.5
54.21, 42.0
57.94, 11.3
58.22, 16.8
59.92, 21.9
67.97, 15.7